Starting from a cell relaxed with GGA-PBE, the powder X-ray diffraction pattern of P6Pb5O11 was computed for Cu Ka.
No peak broadening, texture or thermal motion is included.

```
P6Pb5O11
1.0
4.5482 0.0000 0.0000
0.8012 7.5710 0.0000
1.5357 2.3240 13.2767
P Pb O
6 5 11
direct
0.0000 0.0000 0.0000 P
0.0893 0.7096 0.2332 P
0.3809 0.1584 0.3504 P
0.4836 0.4935 0.9133 P
0.6157 0.7172 0.5599 P
0.7059 0.1351 0.6718 P
0.1841 0.4143 0.4832 Pb
0.2163 0.9300 0.7345 Pb
0.5178 0.7998 0.0824 Pb
0.8808 0.2631 0.1518 Pb
0.9176 0.9505 0.4164 Pb
0.0021 0.0470 0.8840 O
0.1817 0.6424 0.3408 O
0.3040 0.6604 0.8663 O
0.3199 0.8353 0.5609 O
0.3805 0.2201 0.2301 O
0.5854 0.5153 0.0159 O
0.6236 0.5591 0.5023 O
0.7336 0.1456 0.5553 O
0.7638 0.6821 0.6561 O
0.9105 0.5820 0.1919 O
0.9194 0.9006 0.2292 O
```

The 10 most intense peaks (2θ from 10° to 90°), in order of rising 2θ:
d [Å]	I/Imax
4.426	71
4.139	100
3.738	99
3.580	50
3.547	48
3.521	55
3.233	97
2.811	49
2.557	50
2.230	53

***

Starting from a cell relaxed with GGA-PBE, the powder X-ray diffraction pattern of PPb2O6 was computed for Cu Ka.
No peak broadening, texture or thermal motion is included.

```
PPb2O6
1.0
4.8741 0.0000 0.0000
0.0000 4.8741 0.0000
0.0000 0.0000 9.5570
P Pb O
2 4 12
direct
0.0000 0.0000 0.0000 P
0.5000 0.5000 0.5000 P
0.0000 0.0000 0.3360 Pb
0.0000 0.0000 0.6640 Pb
0.5000 0.5000 0.1640 Pb
0.5000 0.5000 0.8360 Pb
0.1718 0.1718 0.1341 O
0.1718 0.1718 0.8659 O
0.2437 0.2437 0.5000 O
0.2563 0.7437 0.0000 O
0.3282 0.6718 0.3659 O
0.3282 0.6718 0.6341 O
0.6718 0.3282 0.3659 O
0.6718 0.3282 0.6341 O
0.7437 0.2563 0.0000 O
0.7563 0.7563 0.5000 O
0.8282 0.8282 0.1341 O
0.8282 0.8282 0.8659 O
```

The 10 most intense peaks (2θ from 10° to 90°), in order of rising 2θ:
d [Å]	I/Imax
4.342	40
3.447	100
2.667	84
2.437	27
2.125	19
1.799	64
1.541	17
1.447	33
1.244	17
1.108	27

***

Starting from a cell relaxed with GGA-PBE, the powder X-ray diffraction pattern of PPb2O4 was computed for Cu Ka.
No peak broadening, texture or thermal motion is included.

```
PPb2O4
1.0
-3.2035 3.2035 3.2077
3.2035 -3.2035 3.2077
3.2035 3.2035 -3.2077
P Pb O
1 2 4
direct
0.0000 0.0000 0.0000 P
0.2500 0.7500 0.5000 Pb
0.7500 0.2500 0.5000 Pb
0.0019 0.0019 0.2828 O
0.2809 0.9981 0.0000 O
0.7191 0.7191 0.7172 O
0.9981 0.2809 0.0000 O
```

The 10 most intense peaks (2θ from 10° to 90°), in order of rising 2θ:
d [Å]	I/Imax
4.531	100
3.205	88
2.618	79
2.266	65
2.026	34
1.850	22
1.713	47
1.511	17
1.433	35
1.308	24

***

Starting from a cell relaxed with GGA-PBE, the powder X-ray diffraction pattern of P3Pb5O13 was computed for Cu Ka.
No peak broadening, texture or thermal motion is included.

```
P3Pb5O13
1.0
9.9050 0.0000 0.0000
0.0000 7.4714 0.0000
-4.9173 0.0000 8.6539
P Pb O
6 10 26
direct
0.0317 0.9999 0.4020 P
0.3721 0.9999 0.9754 P
0.4034 0.5000 0.3714 P
0.5966 0.0000 0.6286 P
0.6279 0.4999 0.0246 P
0.9683 0.4999 0.5980 P
0.0015 0.5005 0.2295 Pb
0.2285 0.0006 0.2339 Pb
0.2488 0.5007 0.0084 Pb
0.3291 0.2525 0.6605 Pb
0.3292 0.7474 0.6605 Pb
0.6708 0.2474 0.3395 Pb
0.6709 0.7525 0.3395 Pb
0.7512 0.0007 0.9916 Pb
0.7715 0.5006 0.7661 Pb
0.9985 0.0005 0.7705 Pb
0.0172 0.5012 0.9913 O
0.0905 0.8315 0.3519 O
0.0907 0.1685 0.3523 O
0.1110 0.9997 0.5822 O
0.1481 0.5000 0.6744 O
0.2624 0.1671 0.9239 O
0.2623 0.8328 0.9241 O
0.3314 0.5000 0.4789 O
0.3505 0.3325 0.2628 O
0.3508 0.6677 0.2630 O
0.4151 0.9998 0.5323 O
0.4621 0.9996 0.8817 O
0.4886 0.0000 0.1504 O
0.5114 0.5000 0.8496 O
0.5379 0.4996 0.1183 O
0.5849 0.4998 0.4677 O
0.6492 0.1677 0.7370 O
0.6495 0.8325 0.7372 O
0.6686 0.0000 0.5211 O
0.7377 0.3328 0.0759 O
0.7376 0.6671 0.0761 O
0.8519 0.0000 0.3256 O
0.8890 0.4997 0.4178 O
0.9093 0.6685 0.6477 O
0.9095 0.3315 0.6481 O
0.9828 0.0012 0.0087 O
```

The 10 most intense peaks (2θ from 10° to 90°), in order of rising 2θ:
d [Å]	I/Imax
4.298	23
4.147	18
3.427	53
3.267	29
3.246	19
2.991	100
2.978	74
1.979	17
1.872	18
1.867	24

***

Starting from a cell relaxed with GGA-PBE, the powder X-ray diffraction pattern of P2Pb8O13 was computed for Cu Ka.
No peak broadening, texture or thermal motion is included.

```
P2Pb8O13
1.0
5.4555 -5.2602 0.0000
5.4555 5.2602 0.0000
-2.1079 0.0000 14.5800
P Pb O
4 16 26
direct
0.2471 0.7529 0.0000 P
0.3382 0.3382 0.4021 P
0.6618 0.6618 0.5979 P
0.7529 0.2471 0.0000 P
0.0406 0.5741 0.2021 Pb
0.0692 0.0692 0.2213 Pb
0.1727 0.1727 0.6172 Pb
0.1829 0.6552 0.5956 Pb
0.2272 0.2272 0.9877 Pb
0.3448 0.8171 0.4044 Pb
0.4259 0.9594 0.7979 Pb
0.4303 0.4303 0.8106 Pb
0.5697 0.5697 0.1894 Pb
0.5741 0.0406 0.2021 Pb
0.6552 0.1829 0.5956 Pb
0.7728 0.7728 0.0123 Pb
0.8171 0.3448 0.4044 Pb
0.8273 0.8273 0.3828 Pb
0.9308 0.9308 0.7787 Pb
0.9594 0.4259 0.7979 Pb
0.0905 0.7713 0.0630 O
0.1059 0.8235 0.2939 O
0.1761 0.4577 0.6979 O
0.1765 0.8941 0.7061 O
0.1961 0.1961 0.3671 O
0.2280 0.2280 0.8383 O
0.2287 0.9095 0.9370 O
0.2342 0.5729 0.9386 O
0.2739 0.5173 0.3635 O
0.3570 0.3570 0.5087 O
0.4271 0.7658 0.0614 O
0.4577 0.1761 0.6979 O
0.4827 0.7261 0.6365 O
0.5173 0.2739 0.3635 O
0.5423 0.8239 0.3021 O
0.5729 0.2342 0.9386 O
0.6430 0.6430 0.4913 O
0.7261 0.4827 0.6365 O
0.7658 0.4271 0.0614 O
0.7713 0.0905 0.0630 O
0.7720 0.7720 0.1617 O
0.8039 0.8039 0.6329 O
0.8235 0.1059 0.2939 O
0.8239 0.5423 0.3021 O
0.8941 0.1765 0.7061 O
0.9095 0.2287 0.9370 O
```

The 10 most intense peaks (2θ from 10° to 90°), in order of rising 2θ:
d [Å]	I/Imax
3.219	100
3.133	97
2.916	35
2.725	28
2.630	28
2.035	14
1.953	25
1.893	22
1.709	19
1.610	20

***

Starting from a cell relaxed with GGA-PBE, the powder X-ray diffraction pattern of P2PdPbO8 was computed for Cu Ka.
No peak broadening, texture or thermal motion is included.

```
P2PdPbO8
1.0
2.3914 1.3807 7.5923
-2.3914 1.3807 7.5923
0.0000 -2.7613 7.5923
P Pd Pb O
2 1 1 8
direct
0.2408 0.2408 0.2408 P
0.7592 0.7592 0.7592 P
0.5000 0.5000 0.5000 Pd
0.0000 0.0000 0.0000 Pb
0.0977 0.7663 0.4735 O
0.2337 0.5265 0.9023 O
0.3085 0.3085 0.3085 O
0.4735 0.0977 0.7663 O
0.5265 0.9023 0.2337 O
0.6915 0.6915 0.6915 O
0.7663 0.4735 0.0977 O
0.9023 0.2337 0.5265 O
```

The 10 most intense peaks (2θ from 10° to 90°), in order of rising 2θ:
d [Å]	I/Imax
3.892	44
3.796	15
3.350	100
2.391	35
2.346	28
2.023	31
1.996	13
1.946	19
1.510	18
1.487	17

***

Starting from a cell relaxed with GGA-PBE, the powder X-ray diffraction pattern of P2PdPbO7 was computed for Cu Ka.
No peak broadening, texture or thermal motion is included.

```
P2PdPbO7
1.0
13.6047 0.0000 0.0000
0.0000 6.1301 0.0000
0.0000 0.0000 7.5042
P Pd Pb O
8 4 4 28
direct
0.0924 0.2500 0.1826 P
0.1192 0.7500 0.7871 P
0.3808 0.2500 0.2871 P
0.4076 0.7500 0.6826 P
0.5924 0.2500 0.3174 P
0.6192 0.7500 0.7129 P
0.8808 0.2500 0.2129 P
0.9076 0.7500 0.8174 P
0.0000 0.0000 0.5000 Pd
0.0000 0.5000 0.5000 Pd
0.5000 0.0000 0.0000 Pd
0.5000 0.5000 0.0000 Pd
0.2439 0.7500 0.2402 Pb
0.2561 0.2500 0.7402 Pb
0.7439 0.7500 0.2598 Pb
0.7561 0.2500 0.7598 Pb
0.0182 0.7500 0.9016 O
0.0986 0.0374 0.2966 O
0.0986 0.4626 0.2966 O
0.1180 0.5395 0.6693 O
0.1180 0.9605 0.6693 O
0.1662 0.2500 0.0352 O
0.2044 0.7500 0.9142 O
0.2956 0.2500 0.4142 O
0.3338 0.7500 0.5352 O
0.3820 0.0395 0.1693 O
0.3820 0.4605 0.1693 O
0.4014 0.5374 0.7966 O
0.4014 0.9626 0.7966 O
0.4818 0.2500 0.4016 O
0.5182 0.7500 0.5984 O
0.5986 0.0374 0.2034 O
0.5986 0.4626 0.2034 O
0.6180 0.5395 0.8307 O
0.6180 0.9605 0.8307 O
0.6662 0.2500 0.4648 O
0.7044 0.7500 0.5858 O
0.7956 0.2500 0.0858 O
0.8338 0.7500 0.9648 O
0.8820 0.0395 0.3307 O
0.8820 0.4605 0.3307 O
0.9014 0.5374 0.7034 O
0.9014 0.9626 0.7034 O
0.9818 0.2500 0.0984 O
```

The 10 most intense peaks (2θ from 10° to 90°), in order of rising 2θ:
d [Å]	I/Imax
6.571	22
3.892	100
3.285	47
2.794	39
2.778	22
2.765	48
2.374	21
2.192	21
1.947	25
1.941	19

***

Repeat the first record exactly.
Starting from a cell relaxed with GGA-PBE, the powder X-ray diffraction pattern of P6Pb5O11 was computed for Cu Ka.
No peak broadening, texture or thermal motion is included.

```
P6Pb5O11
1.0
4.5482 0.0000 0.0000
0.8012 7.5710 0.0000
1.5357 2.3240 13.2767
P Pb O
6 5 11
direct
0.0000 0.0000 0.0000 P
0.0893 0.7096 0.2332 P
0.3809 0.1584 0.3504 P
0.4836 0.4935 0.9133 P
0.6157 0.7172 0.5599 P
0.7059 0.1351 0.6718 P
0.1841 0.4143 0.4832 Pb
0.2163 0.9300 0.7345 Pb
0.5178 0.7998 0.0824 Pb
0.8808 0.2631 0.1518 Pb
0.9176 0.9505 0.4164 Pb
0.0021 0.0470 0.8840 O
0.1817 0.6424 0.3408 O
0.3040 0.6604 0.8663 O
0.3199 0.8353 0.5609 O
0.3805 0.2201 0.2301 O
0.5854 0.5153 0.0159 O
0.6236 0.5591 0.5023 O
0.7336 0.1456 0.5553 O
0.7638 0.6821 0.6561 O
0.9105 0.5820 0.1919 O
0.9194 0.9006 0.2292 O
```

The 10 most intense peaks (2θ from 10° to 90°), in order of rising 2θ:
d [Å]	I/Imax
4.426	71
4.139	100
3.738	99
3.580	50
3.547	48
3.521	55
3.233	97
2.811	49
2.557	50
2.230	53

***

What did the first record say?
Starting from a cell relaxed with GGA-PBE, the powder X-ray diffraction pattern of P6Pb5O11 was computed for Cu Ka.
No peak broadening, texture or thermal motion is included.

```
P6Pb5O11
1.0
4.5482 0.0000 0.0000
0.8012 7.5710 0.0000
1.5357 2.3240 13.2767
P Pb O
6 5 11
direct
0.0000 0.0000 0.0000 P
0.0893 0.7096 0.2332 P
0.3809 0.1584 0.3504 P
0.4836 0.4935 0.9133 P
0.6157 0.7172 0.5599 P
0.7059 0.1351 0.6718 P
0.1841 0.4143 0.4832 Pb
0.2163 0.9300 0.7345 Pb
0.5178 0.7998 0.0824 Pb
0.8808 0.2631 0.1518 Pb
0.9176 0.9505 0.4164 Pb
0.0021 0.0470 0.8840 O
0.1817 0.6424 0.3408 O
0.3040 0.6604 0.8663 O
0.3199 0.8353 0.5609 O
0.3805 0.2201 0.2301 O
0.5854 0.5153 0.0159 O
0.6236 0.5591 0.5023 O
0.7336 0.1456 0.5553 O
0.7638 0.6821 0.6561 O
0.9105 0.5820 0.1919 O
0.9194 0.9006 0.2292 O
```

The 10 most intense peaks (2θ from 10° to 90°), in order of rising 2θ:
d [Å]	I/Imax
4.426	71
4.139	100
3.738	99
3.580	50
3.547	48
3.521	55
3.233	97
2.811	49
2.557	50
2.230	53